1.
For Pm3Zn6Ag5, DFT lattice parameters and positions (PBE) gives the theoretical XRD peak list in this record (Cu Kα (weighted mean of Kα1 and Kα2)).

Peak list (8 most intense, 2θ from 10° to 80°, by angle)
two_theta  intensity
28.31  48
32.89  27
34.19  65
34.87  100
37.43  35
40.32  48
40.62  22
43.88  22

Structure:
```
14
Lattice="-2.237 4.727 6.663 2.237 -4.727 6.663 2.237 4.727 -6.663" Properties=species:S:1:pos:R:3 pbc="T T T"
Pm 0.000 0.000 0.000
Pm 0.000 0.000 3.986
Pm 0.000 0.000 9.339
Zn 2.237 -2.004 4.934
Zn 2.237 2.953 0.000
Zn 0.000 2.723 1.729
Zn 2.237 2.004 4.934
Zn 0.000 1.774 6.663
Zn 0.000 6.730 1.729
Ag 2.237 -1.398 2.196
Ag 2.237 1.398 2.196
Ag 0.000 4.727 0.000
Ag 0.000 3.329 4.466
Ag 0.000 6.124 4.466
```

2.
For Mg3InBi, DFT lattice parameters and positions (PBE) gives the theoretical XRD peak list in this record (Cu Kα (weighted mean of Kα1 and Kα2)).

Peak list (8 most intense, 2θ from 10° to 80°, by angle)
two_theta  intensity
21.70  46
22.56  80
24.86  37
32.81  55
33.55  100
33.98  52
37.33  44
38.84  35

Structure:
```
10
Lattice="5.500 0.000 0.000 -1.666 6.305 0.000 -1.259 -2.137 7.210" Properties=species:S:1:pos:R:3 pbc="T T T"
Mg -0.301 1.583 0.042
Mg -0.334 3.204 2.929
Mg 1.162 -1.258 5.748
Mg 1.413 5.427 1.462
Mg 2.909 0.965 4.281
Mg 2.875 2.586 7.168
In 0.303 -0.156 2.720
In 2.272 4.325 4.490
Bi 0.063 1.914 5.691
Bi 2.512 2.254 1.519
```

3.
For BaAg2AuO2, DFT lattice parameters and positions (PBE) gives the theoretical XRD peak list in this record (Cu Kα (weighted mean of Kα1 and Kα2)).

Peak list (8 most intense, 2θ from 10° to 80°, by angle)
two_theta  intensity
24.82  26
30.83  100
31.47  59
37.62  46
44.64  87
49.84  33
51.24  20
72.80  20

Structure:
```
12
Lattice="4.782 0.000 0.000 0.000 5.685 0.000 -2.384 0.000 9.118" Properties=species:S:1:pos:R:3 pbc="T T T"
Ba 0.003 1.421 3.759
Ba 2.395 4.264 5.360
Ag 0.013 1.421 7.480
Ag 0.002 4.264 7.857
Ag 2.396 1.421 1.261
Ag 2.385 4.264 1.638
Au -0.005 4.264 0.141
Au 2.403 1.421 8.978
O 0.006 2.939 5.923
O 0.006 5.589 5.923
O 2.391 0.096 3.195
O 2.391 2.746 3.195
```

4.
For Sr3Cu3P4O16, DFT lattice parameters and positions (PBE) gives the theoretical XRD peak list in this record (Cu Kα (weighted mean of Kα1 and Kα2)).

Peak list (8 most intense, 2θ from 10° to 80°, by angle)
two_theta  intensity
11.41  67
18.64  47
26.52  68
30.55  100
31.16  40
31.42  75
33.95  85
35.84  61

Structure:
```
52
Lattice="9.183 -2.506 0.000 9.183 2.506 0.000 -7.964 0.000 15.509" Properties=species:S:1:pos:R:3 pbc="T T T"
Sr -0.469 1.550 13.383
Sr 3.210 1.475 11.632
Sr 6.889 1.550 9.881
Sr 3.513 -1.550 5.628
Sr 7.192 -1.475 3.877
Sr 10.871 -1.550 2.126
Cu 4.591 1.253 0.000
Cu 3.102 1.306 8.232
Cu 3.318 1.306 15.032
Cu 0.609 -1.253 7.754
Cu 7.084 -1.306 0.477
Cu 7.300 -1.306 7.277
P 0.212 1.301 9.614
P 5.674 1.017 6.190
P 8.710 1.017 1.564
P 6.208 1.301 13.650
P 4.194 -1.301 1.859
P 1.692 -1.017 13.945
P 4.728 -1.017 9.319
P 10.190 -1.301 5.895
O 5.780 1.769 4.856
O -0.443 0.916 10.936
O 7.793 1.562 0.465
O -0.386 0.365 8.470
O 1.747 1.090 9.665
O -2.619 0.269 14.025
O 4.140 1.067 6.569
O 8.604 1.769 2.898
O 6.591 1.562 7.289
O 3.596 -0.365 0.715
O 1.363 -0.269 6.271
O 10.244 1.067 1.185
O 2.007 0.521 13.726
O 4.413 0.521 9.538
O 4.673 1.090 13.599
O 3.539 -0.916 3.182
O 6.863 0.916 12.327
O 5.729 -1.090 1.910
O 5.989 -0.521 5.971
O 8.395 -0.521 1.783
O 0.158 -1.067 14.324
O 9.039 0.269 9.238
O 6.806 0.365 14.794
O 3.811 -1.562 8.220
O 1.798 -1.769 12.611
O 6.262 -1.067 8.940
O 13.021 -0.269 1.484
O 8.655 -1.090 5.844
O 10.788 -0.365 7.039
O 2.609 -1.562 15.044
O 10.845 -0.916 4.573
O 4.622 -1.769 10.653
```

5.
For Ta2Pd3Rh, DFT lattice parameters and positions (PBE) gives the theoretical XRD peak list in this record (Cu Kα (weighted mean of Kα1 and Kα2)).

Peak list (8 most intense, 2θ from 10° to 80°, by angle)
two_theta  intensity
10.86  11
38.85  100
39.16  97
44.49  35
44.81  32
46.72  31
66.49  19
66.73  20

Structure:
```
12
Lattice="6.068 -1.944 0.000 6.068 1.944 0.000 -4.143 0.000 8.145" Properties=species:S:1:pos:R:3 pbc="T T T"
Ta -1.148 0.000 2.915
Ta 0.798 0.000 5.170
Ta 7.196 0.000 2.975
Ta 9.142 0.000 5.231
Pd 1.001 0.000 1.086
Pd -1.103 0.000 7.147
Pd 5.069 0.000 1.101
Pd 2.925 0.000 7.044
Pd 9.097 0.000 0.999
Pd 6.993 0.000 7.059
Rh 3.006 0.000 3.109
Rh 4.988 0.000 5.037
```

6.
For Ge2BiTe4, DFT lattice parameters and positions (PBE) gives the theoretical XRD peak list in this record (Cu Kα (weighted mean of Kα1 and Kα2)).

Peak list (8 most intense, 2θ from 10° to 80°, by angle)
two_theta  intensity
28.68  50
29.02  100
31.12  19
39.10  31
40.93  16
42.06  21
43.32  26
51.70  19

Structure:
```
14
Lattice="2.148 -6.975 0.000 2.148 6.975 0.000 0.000 0.000 13.914" Properties=species:S:1:pos:R:3 pbc="T T T"
Ge 2.148 5.041 7.724
Ge 2.148 5.041 13.147
Ge 2.148 -5.041 0.767
Ge 2.148 -5.041 6.190
Bi 2.148 1.210 10.435
Bi 2.148 -1.210 3.478
Te 2.148 6.025 10.435
Te 2.148 3.788 1.787
Te 2.148 3.788 5.170
Te 2.148 0.000 0.000
Te 2.148 0.000 6.957
Te 2.148 -3.788 8.744
Te 2.148 -3.788 12.127
Te 2.148 -6.025 3.478
```

7.
For TbPm4Th3, DFT lattice parameters and positions (PBE) gives the theoretical XRD peak list in this record (Cu Kα (weighted mean of Kα1 and Kα2)).

Peak list (8 most intense, 2θ from 10° to 80°, by angle)
two_theta  intensity
30.32  100
34.93  17
35.26  34
50.47  24
50.72  12
59.80  14
60.24  29
63.07  12

Structure:
```
16
Lattice="5.087 0.000 0.000 0.000 10.190 0.000 0.000 0.000 10.276" Properties=species:S:1:pos:R:3 pbc="T T T"
Tb 1.272 2.548 1.222
Tb 3.815 7.643 9.054
Pm 1.272 2.548 6.536
Pm 1.272 5.107 3.778
Pm 1.272 7.643 6.466
Pm 1.272 10.179 3.778
Pm 3.815 0.011 6.498
Pm 3.815 2.548 3.809
Pm 3.815 5.084 6.498
Pm 3.815 7.643 3.740
Th 1.272 0.023 9.050
Th 1.272 5.072 9.050
Th 1.272 7.643 1.236
Th 3.815 2.548 9.039
Th 3.815 5.118 1.225
Th 3.815 10.168 1.225
```

8.
For Tc3Pt4, DFT lattice parameters and positions (PBE) gives the theoretical XRD peak list in this record (Cu Kα (weighted mean of Kα1 and Kα2)).

Peak list (8 most intense, 2θ from 10° to 80°, by angle)
two_theta  intensity
35.61  74
40.04  59
41.35  27
41.59  100
45.31  40
63.96  14
68.04  47
75.40  22

Structure:
```
7
Lattice="5.043 0.000 0.000 -2.521 4.367 0.000 0.000 0.000 5.006" Properties=species:S:1:pos:R:3 pbc="T T T"
Tc -1.261 2.184 0.000
Tc 2.521 0.000 0.000
Tc 1.261 2.184 0.000
Pt 0.000 0.000 1.265
Pt 0.000 0.000 3.741
Pt 0.000 2.911 2.503
Pt 2.521 1.456 2.503
```

9.
For TbSm3Hg7, DFT lattice parameters and positions (PBE) gives the theoretical XRD peak list in this record (Cu Kα (weighted mean of Kα1 and Kα2)).

Peak list (8 most intense, 2θ from 10° to 80°, by angle)
two_theta  intensity
32.13  100
34.01  60
34.84  30
36.53  49
46.30  25
57.79  17
60.37  23
66.75  18

Structure:
```
22
Lattice="1.961 -12.461 0.000 1.961 12.461 0.000 0.000 0.000 12.024" Properties=species:S:1:pos:R:3 pbc="T T T"
Tb 1.961 10.102 9.018
Tb 1.961 -10.102 3.006
Sm 1.961 10.522 0.837
Sm 1.961 10.522 5.175
Sm 1.961 6.411 9.018
Sm 1.961 -6.411 3.006
Sm 1.961 -10.522 6.849
Sm 1.961 -10.522 11.187
Hg 1.961 7.276 0.831
Hg 1.961 7.276 5.181
Hg 1.961 3.956 1.173
Hg 1.961 3.956 4.839
Hg 1.961 3.251 9.018
Hg 1.961 0.574 1.408
Hg 1.961 0.574 4.604
Hg 1.961 -0.574 7.420
Hg 1.961 -0.574 10.616
Hg 1.961 -3.251 3.006
Hg 1.961 -3.956 7.185
Hg 1.961 -3.956 10.851
Hg 1.961 -7.276 6.843
Hg 1.961 -7.276 11.194
```

10.
For Ac2In3Au4, DFT lattice parameters and positions (PBE) gives the theoretical XRD peak list in this record (Cu Kα (weighted mean of Kα1 and Kα2)).

Peak list (8 most intense, 2θ from 10° to 80°, by angle)
two_theta  intensity
29.92  27
31.43  58
31.92  95
33.61  60
33.87  38
34.89  100
35.02  27
51.49  25

Structure:
```
18
Lattice="3.242 -8.360 0.000 3.242 8.360 0.000 0.000 0.000 8.441" Properties=species:S:1:pos:R:3 pbc="T T T"
Ac 3.242 6.470 7.719
Ac 3.242 1.891 3.499
Ac 3.242 -1.891 4.943
Ac 3.242 -6.470 0.722
In 0.000 0.000 4.221
In 1.621 3.586 6.331
In 1.621 -3.586 2.110
In 3.242 0.000 0.000
In 4.864 3.586 6.331
In 4.864 -3.586 2.110
Au 3.242 5.294 4.582
Au 1.621 0.731 6.331
Au 1.621 -0.731 2.110
Au 3.242 3.066 0.362
Au 3.242 -3.066 8.079
Au 4.864 0.731 6.331
Au 4.864 -0.731 2.110
Au 3.242 -5.294 3.859
```

11.
For Sr2GaPdSe, DFT lattice parameters and positions (PBE) gives the theoretical XRD peak list in this record (Cu Kα (weighted mean of Kα1 and Kα2)).

Peak list (8 most intense, 2θ from 10° to 80°, by angle)
two_theta  intensity
23.44  27
28.11  100
30.87  97
35.76  36
44.22  35
47.95  57
53.22  33
58.12  31

Structure:
```
5
Lattice="5.793 0.000 0.000 0.000 5.793 0.000 0.000 0.000 5.022" Properties=species:S:1:pos:R:3 pbc="T T T"
Sr 0.000 2.897 0.000
Sr 2.897 0.000 0.000
Ga 0.000 0.000 2.511
Pd 2.897 2.897 2.511
Se 0.000 0.000 0.000
```

12.
For TcOsAu, DFT lattice parameters and positions (PBE) gives the theoretical XRD peak list in this record (Cu Kα (weighted mean of Kα1 and Kα2)).

Peak list (8 most intense, 2θ from 10° to 80°, by angle)
two_theta  intensity
25.53  15
39.40  98
39.58  100
45.06  70
47.62  30
67.63  40
79.18  24
79.54  26

Structure:
```
3
Lattice="-1.418 1.910 4.284 1.418 -1.910 4.284 1.418 1.910 -4.284" Properties=species:S:1:pos:R:3 pbc="T T T"
Tc 0.000 0.000 0.000
Os 0.000 0.000 3.072
Au 0.000 0.000 5.819
```